For TmGeIr, a crystal structure in the Materials Project, relaxed with GGA-PBE gives the calculated PXRD pattern in this record (Cu Kα, 1.54184 Å).
Lines closer than 0.1° are merged.

Cell and atoms:
Cell lengths 6.7703, 4.2835, 7.6251 Å; angles 90.00, 90.00, 90.00 degrees
Space group Pnma (No. 62)
Unique sites:
Tm 0.0064 0.2500 0.1943
Ge 0.2123 0.7500 0.3886
Ir 0.1614 0.2500 0.5637

Top 6 peaks for 5 to 70 degrees two-theta, sorted by position:
Position (°2θ), Rel. int., (hkl)
34.16, 81.1, 1 1 2
35.80, 100.0, 2 1 1
41.30, 65.6, 0 1 3
41.74, 43.3, 3 0 1
42.19, 54.7, 0 2 0
67.99, 39.2, 3 1 4